# 1
Diffraction record for Tb2U2Tc3. The XRD peak list is calculated, not measured: it uses a cell relaxed with PBE and CuKα.
Kinematic intensities with the Lorentz-polarization factor, no thermal factor.

Crystal structure
Cell lengths 6.0215, 7.2188, 7.1946 Å; angles 90.00, 94.84, 90.00 degrees
Space group P2_1/c (No. 14)
Symmetry-distinct sites (fractional):
Tb 0.1482 0.1552 0.1736 x4
U 0.3653 0.6970 0.0134 x4
Tc 0.0000 0.0000 0.5000 x2
Tc 0.3547 0.5259 0.3290 x4

Peak list (6 most intense, 2θ from 10° to 80°, in order of rising 2θ)
| 2θ (°) | intensity | index |
| --- | --- | --- |
| 27.67 | 35 | 0 2 1 |
| 30.57 | 78 | 1 1 -2 |
| 32.31 | 100 | 2 1 0 |
| 39.29 | 55 | 1 2 2 |
| 39.73 | 44 | 0 1 3 |
| 41.99 | 68 | 1 3 -1 |

# 2
Diffraction record for BaNpSe2F. The XRD peak list is calculated, not measured: it uses a cell relaxed with PBE and CuKα.
Kinematic intensities with the Lorentz-polarization factor, no thermal factor.

Crystal structure
Cell lengths 4.2291, 4.2291, 14.8494 Å; angles 90.00, 90.00, 90.00 degrees
Space group P4/nmm (No. 129, origin choice 2)
Symmetry-distinct sites (fractional):
Ba 0.2500 0.2500 0.1089 x2
Np 0.2500 0.2500 0.6060 x2
Se 0.2500 0.2500 0.4069 x2
Se 0.2500 0.2500 0.7869 x2
F 0.2500 0.7500 0.0000 x2

Peak list (6 most intense, 2θ from 10° to 80°, in order of rising 2θ)
| 2θ (°) | intensity | index |
| --- | --- | --- |
| 23.97 | 33 | 0 0 4 |
| 24.22 | 78 | 1 0 2 |
| 29.88 | 100 | 1 1 0 |
| 38.66 | 50 | 1 1 4 |
| 42.31 | 34 | 1 0 6 |
| 42.76 | 44 | 2 0 0 |

# 3
Diffraction record for CsBiPd2. The XRD peak list is calculated, not measured: it uses a cell relaxed with PBE and CuKα.
Kinematic intensities with the Lorentz-polarization factor, no thermal factor.

Crystal structure
Cell lengths 4.8333, 7.4263, 7.1124 Å; angles 90.00, 90.00, 90.00 degrees
Space group Pmmn (No. 59, origin choice 2)
Symmetry-distinct sites (fractional):
Cs 0.2500 0.2500 0.1220 x2
Bi 0.2500 0.7500 0.3696 x2
Pd 0.2500 0.0619 0.5832 x4

Peak list (6 most intense, 2θ from 10° to 80°, in order of rising 2θ)
| 2θ (°) | intensity | index |
| --- | --- | --- |
| 12.45 | 100 | 0 0 1 |
| 27.82 | 92 | 0 1 2 |
| 32.92 | 73 | 1 2 1 |
| 37.21 | 40 | 2 0 0 |
| 42.98 | 57 | 1 3 1 |
| 47.08 | 44 | 2 1 2 |

# 4
Diffraction record for ThCo4C. The XRD peak list is calculated, not measured: it uses a cell relaxed with PBE and CuKα.
Kinematic intensities with the Lorentz-polarization factor, no thermal factor.

Crystal structure
Cell lengths 7.5695, 7.5698, 6.9846 Å; angles 90.00, 122.75, 90.00 degrees
Space group C2/m (No. 12)
Symmetry-distinct sites (fractional):
Th 0.2504 0.0000 0.0009 x4
Co 0.0000 0.2491 0.5000 x4
Co 0.0944 0.2498 0.1887 x8
Co 0.2491 0.5000 0.4999 x4
C 0.2500 0.2500 0.5000 x4

Peak list (6 most intense, 2θ from 10° to 80°, in order of rising 2θ)
| 2θ (°) | intensity | index |
| --- | --- | --- |
| 28.05 | 48 | 2 0 0 |
| 33.48 | 24 | 2 2 -1 |
| 36.91 | 100 | 2 2 0 |
| 38.81 | 54 | 2 0 1 |
| 48.08 | 36 | 0 4 0 |
| 52.63 | 29 | 2 0 2 |

# 5
Diffraction record for Cs4SnPb5. The XRD peak list is calculated, not measured: it uses a cell relaxed with PBE and CuKα.
Kinematic intensities with the Lorentz-polarization factor, no thermal factor.

Crystal structure
Cell lengths 11.5832, 11.5832, 7.3409 Å; angles 90.00, 90.00, 90.00 degrees
Space group I4mm (No. 107)
Symmetry-distinct sites (fractional):
Cs 0.0000 0.2946 0.0000 x8
Sn 0.0000 0.0000 0.7538 x2
Pb 0.0000 0.0000 0.2389 x2
Pb 0.1529 0.1529 0.5067 x8

Peak list (6 most intense, 2θ from 10° to 80°, in order of rising 2θ)
| 2θ (°) | intensity | index |
| --- | --- | --- |
| 10.80 | 45 | 1 1 0 |
| 26.08 | 100 | 3 0 1 |
| 32.79 | 54 | 3 3 0 |
| 34.60 | 32 | 3 1 2 |
| 43.81 | 28 | 3 0 3 |
| 47.06 | 21 | 6 0 0 |

# 6
Diffraction record for CaPr7Er4. The XRD peak list is calculated, not measured: it uses a cell relaxed with PBE and CuKα.
Kinematic intensities with the Lorentz-polarization factor, no thermal factor.

Crystal structure
Cell lengths 6.3206, 7.3185, 9.6748 Å; angles 78.92, 71.05, 89.99 degrees
Space group P-1 (No. 2)
Symmetry-distinct sites (fractional):
Ca 0.0000 0.0000 0.0000 x1
Pr 0.0000 0.5000 0.0000 x1
Pr 0.1686 0.9157 0.3402 x2
Pr 0.3395 0.3380 0.6611 x2
Pr 0.4981 0.7424 0.9973 x2
Er 0.1647 0.4154 0.3349 x2
Er 0.3411 0.8309 0.6614 x2

Peak list (6 most intense, 2θ from 10° to 80°, in order of rising 2θ)
| 2θ (°) | intensity | index |
| --- | --- | --- |
| 29.92 | 100 | 1 2 0 |
| 30.00 | 33 | 2 0 2 |
| 34.68 | 45 | 2 0 -1 |
| 34.76 | 23 | 1 -2 2 |
| 49.94 | 32 | 3 -2 1 |
| 59.30 | 24 | 2 -4 1 |

# 7
Diffraction record for Tb4Ho5Tm4. The XRD peak list is calculated, not measured: it uses a cell relaxed with PBE and CuKα.
Kinematic intensities with the Lorentz-polarization factor, no thermal factor.

Crystal structure
Cell lengths 12.6784, 12.6784, 4.9686 Å; angles 90.00, 90.00, 90.00 degrees
Space group I4/m (No. 87)
Symmetry-distinct sites (fractional):
Tb 0.1538 0.7691 0.0000 x8
Ho 0.0000 0.0000 0.0000 x2
Ho 0.0382 0.1931 0.5000 x8
Tm 0.0766 0.3855 0.0000 x8

Peak list (6 most intense, 2θ from 10° to 80°, in order of rising 2θ)
| 2θ (°) | intensity | index |
| --- | --- | --- |
| 31.16 | 100 | 3 2 1 |
| 36.14 | 51 | 1 5 0 |
| 52.03 | 36 | 6 4 0 |
| 61.90 | 43 | 8 1 1 |
| 64.98 | 12 | 6 4 2 |
| 76.67 | 6 | 2 10 0 |